Nd2Tm3Sc: theoretical powder diffractogram (CuKα), based on DFT lattice parameters and positions (PBE).
Lines closer than 0.1° are merged.

Principal peaks in the range 15° ≤ 2θ ≤ 90°, by intensity:
2θ = 31.2°, d 2.871, intensity 1000; 2θ = 36.2°, d 2.479, intensity 333; 2θ = 62.0°, d 1.496, intensity 275; 2θ = 51.9°, d 1.761, intensity 238; 2θ = 35.9°, d 2.501, intensity 172; 2θ = 61.6°, d 1.506, intensity 142; 2θ = 65.0°, d 1.436, intensity 120; 2θ = 52.2°, d 1.753, intensity 116; 2θ = 84.9°, d 1.142, intensity 116; 2θ = 85.3°, d 1.138, intensity 57

Cell and atoms:
```
data_Nd2Tm3Sc
_chemical_formula_sum 'Nd4 Tm6 Sc2'
_cell_length_a 4.954
_cell_length_b 14.892
_cell_length_c 5.002
_cell_angle_alpha 90.00
_cell_angle_beta 90.00
_cell_angle_gamma 90.00
_symmetry_space_group_name_H-M 'C m m m'
_symmetry_Int_Tables_number 65
_symmetry_space_group_name_Hall '-C 2 2'
loop_
_atom_site_label
_atom_site_type_symbol
_atom_site_fract_x
_atom_site_fract_y
_atom_site_fract_z
Nd1 Nd 0.000 0.162 0.000
Tm1 Tm 0.000 0.000 0.500
Tm2 Tm 0.000 0.336 0.500
Sc1 Sc 0.000 0.500 0.000
```